# Tb3TmPb3
Simulated PXRD pattern, λ = 1.5418 Å (Cu Kα). Input: a DFT-relaxed cell (PBE, Alexandria).

Main lines, sorted by position (10° ≤ 2θ ≤ 90°):
18.69°, rel. 36; 28.79°, rel. 54; 32.66°, rel. 100; 34.55°, rel. 16; 44.09°, rel. 89; 58.29°, rel. 17; 66.30°, rel. 23; 69.68°, rel. 23

Atomic structure:
```
data_Tb3TmPb3
_chemical_formula_sum 'Tb6 Tm2 Pb6'
_symmetry_space_group_name_H-M 'P 63/m'
_symmetry_Int_Tables_number 176
_symmetry_space_group_name_Hall '-P 6c'
_cell_length_a 9.4973
_cell_length_b 9.4973
_cell_length_c 6.2013
_cell_angle_alpha 90.00
_cell_angle_beta 90.00
_cell_angle_gamma 120.00
loop_
_atom_site_label
_atom_site_fract_x
_atom_site_fract_y
_atom_site_fract_z
Tb1 0.0249 0.3312 0.2500
Tm1 0.3333 0.6667 0.7500
Pb1 0.0053 0.3463 0.7500
```



# TbTm2Pb
Simulated PXRD pattern, λ = 1.5418 Å (Cu Kα). Input: a DFT-relaxed cell (PBE, Alexandria).

Main lines, sorted by position (10° ≤ 2θ ≤ 90°):
27.50°, rel. 23; 29.78°, rel. 65; 32.10°, rel. 33; 33.93°, rel. 100; 38.58°, rel. 29; 39.11°, rel. 28; 51.03°, rel. 18; 56.11°, rel. 20

Atomic structure:
```
data_TbTm2Pb
_chemical_formula_sum 'Tb2 Tm4 Pb2'
_symmetry_space_group_name_H-M 'P 1 21/m 1'
_symmetry_Int_Tables_number 11
_symmetry_space_group_name_Hall '-P 2yb'
_cell_length_a 4.6061
_cell_length_b 4.6673
_cell_length_c 11.3888
_cell_angle_alpha 90.00
_cell_angle_beta 101.65
_cell_angle_gamma 90.00
loop_
_atom_site_label
_atom_site_fract_x
_atom_site_fract_y
_atom_site_fract_z
Tb1 0.1904 0.2500 0.3816
Tm1 0.0568 0.7500 0.1142
Tm2 0.4383 0.7500 0.8763
Pb1 0.3342 0.2500 0.6674
```



# Tb7Tm12Pb
Simulated PXRD pattern, λ = 1.5418 Å (Cu Kα). Input: a DFT-relaxed cell (PBE, Alexandria).

Main lines, sorted by position (10° ≤ 2θ ≤ 90°):
30.37°, rel. 35; 31.03°, rel. 63; 32.15°, rel. 63; 32.46°, rel. 41; 32.57°, rel. 61; 32.85°, rel. 100; 33.46°, rel. 94; 33.80°, rel. 39

Atomic structure:
```
data_Tb7Tm12Pb
_chemical_formula_sum 'Tb7 Tm12 Pb1'
_symmetry_space_group_name_H-M 'P -1'
_symmetry_Int_Tables_number 2
_symmetry_space_group_name_Hall '-P 1'
_cell_length_a 8.3127
_cell_length_b 9.0388
_cell_length_c 9.6828
_cell_angle_alpha 73.62
_cell_angle_beta 78.84
_cell_angle_gamma 62.94
loop_
_atom_site_label
_atom_site_fract_x
_atom_site_fract_y
_atom_site_fract_z
Tb1 0.0000 0.0000 0.0000
Tb2 0.0932 0.3460 0.1545
Tb3 0.3234 0.9343 0.2908
Tb4 0.4207 0.2109 0.4097
Tm1 0.1113 0.0404 0.6234
Tm2 0.2228 0.2715 0.7978
Tm3 0.2467 0.6283 0.2353
Tm4 0.2824 0.6188 0.5689
Tm5 0.3197 0.5782 0.9020
Tm6 0.4612 0.8528 0.9444
Pb1 0.0000 0.5000 0.5000
```